# CaZrIn6
Simulated powder XRD pattern, a wavelength of 1.5418 Å. Input: a crystal structure in Alexandria, relaxed with GGA-PBE.
Neutral-atom scattering factors, no anomalous dispersion.

```
CaZrIn6
1.0
4.573 0.000 0.000
0.000 4.573 0.000
0.000 0.000 9.308
Ca Zr In
1 1 6
direct
0.000 0.000 0.000
0.000 0.000 0.500
0.000 0.500 0.257
0.000 0.500 0.743
0.500 0.000 0.257
0.500 0.000 0.743
0.500 0.500 0.000
0.500 0.500 0.500
```

Most intense lines, 2θ from 5° to 70°, low angle first:
2θ (°)	Rel. int.
33.76	100
38.70	17
39.41	33
56.42	22
66.90	12
67.88	25

***

# Tb5Pm3Sm3
Simulated powder XRD pattern, a wavelength of 1.5418 Å. Input: a crystal structure in Alexandria, relaxed with GGA-PBE.
Neutral-atom scattering factors, no anomalous dispersion.

```
Tb5Pm3Sm3
1.0
9.691 0.000 0.000
-4.846 8.393 0.000
0.000 0.000 5.543
Tb Pm Sm
5 3 3
direct
0.000 0.732 0.000
0.268 0.268 0.000
0.333 0.667 0.000
0.667 0.333 0.000
0.732 0.000 0.000
0.000 0.573 0.500
0.427 0.427 0.500
0.573 0.000 0.500
0.000 0.367 0.000
0.367 0.000 0.000
0.633 0.633 0.000
```

Most intense lines, 2θ from 5° to 70°, low angle first:
2θ (°)	Rel. int.
15.99	75
26.64	56
31.99	74
32.30	61
32.52	100
35.96	75

***

# CdRhW2
Simulated powder XRD pattern, a wavelength of 1.5418 Å. Input: a crystal structure in Alexandria, relaxed with GGA-PBE.
Neutral-atom scattering factors, no anomalous dispersion.

```
CdRhW2
1.0
1.410 0.814 9.574
-1.410 0.814 9.574
0.000 -1.628 9.574
Cd Rh W
1 1 2
direct
0.000 0.000 0.000
0.500 0.500 0.500
0.244 0.244 0.244
0.756 0.756 0.756
```

Most intense lines, 2θ from 5° to 70°, low angle first:
2θ (°)	Rel. int.
18.53	10
37.58	33
38.95	100
44.88	64
64.41	18
66.27	21